No. 1
Starting from DFT lattice parameters and positions (PBE), the powder X-ray diffraction pattern of Nd3NiSn3Ir2 was calculated for Cu Kα, 1.54184 Å.
Kinematic intensities with the Lorentz-polarization factor, no thermal factor.

Top 10 peaks for 15° ≤ 2θ ≤ 90°, sorted by position:
2theta, d/Å, I (rel.)
32.37, 2.765, 100.0
35.26, 2.545, 81.9
36.55, 2.459, 50.2
41.65, 2.168, 31.9
42.93, 2.107, 25.9
44.32, 2.044, 26.5
58.75, 1.572, 26.1
62.45, 1.487, 19.4
66.73, 1.402, 25.6
70.19, 1.341, 15.5

Atomic structure:
a = 4.0874 Å, b = 7.5142 Å, c = 7.5142 Å
α = 120.08°, β = 90.00°, γ = 90.00°
Fractional positions:
Nd1 0.0000 0.0000 0.0000
Nd2 0.0000 0.4120 0.8242
Nd3 0.0000 0.8242 0.4120
Ni1 0.0000 0.4112 0.4112
Sn1 0.5000 0.1642 0.4115
Sn2 0.5000 0.4115 0.1642
Sn3 0.5000 0.6585 0.6585
Ir1 0.5000 0.0780 0.7457
Ir2 0.5000 0.7457 0.0780

=====

No. 2
Starting from DFT lattice parameters and positions (PBE), the powder X-ray diffraction pattern of Nd3NiSn3Ir2 was calculated for Cu Kα, 1.54184 Å.
Kinematic intensities with the Lorentz-polarization factor, no thermal factor.

Top 10 peaks for 15° ≤ 2θ ≤ 90°, sorted by position:
2theta, d/Å, I (rel.)
32.39, 2.764, 100.0
35.28, 2.544, 80.6
36.54, 2.459, 49.7
41.64, 2.169, 32.3
42.93, 2.107, 25.9
44.38, 2.041, 26.2
58.79, 1.571, 25.7
62.48, 1.486, 19.6
66.72, 1.402, 25.5
70.18, 1.341, 15.3

Atomic structure:
a = 7.5134 Å, b = 7.5134 Å, c = 4.0824 Å
α = 90.00°, β = 90.00°, γ = 120.00°
Fractional positions:
Nd1 0.0000 0.5888 0.0000
Nd2 0.4112 0.4112 0.0000
Nd3 0.5888 0.0000 0.0000
Ni1 0.0000 0.0000 0.0000
Sn1 0.0000 0.2474 0.5000
Sn2 0.2474 0.0000 0.5000
Sn3 0.7526 0.7526 0.5000
Ir1 0.3333 0.6667 0.5000
Ir2 0.6667 0.3333 0.5000

=====

No. 3
Starting from DFT lattice parameters and positions (PBE), the powder X-ray diffraction pattern of PrNdSb2Ir2O2 was calculated for Cu Kα, 1.54184 Å.
Kinematic intensities with the Lorentz-polarization factor, no thermal factor.

Top 10 peaks for 15° ≤ 2θ ≤ 90°, sorted by position:
2theta, d/Å, I (rel.)
29.37, 3.041, 100.0
31.66, 2.826, 67.8
36.41, 2.467, 79.1
42.83, 2.111, 68.9
43.33, 2.088, 21.2
51.75, 1.766, 51.7
52.79, 1.734, 38.5
62.18, 1.493, 22.5
74.25, 1.277, 19.3
85.08, 1.140, 24.9

Atomic structure:
a = 4.2226 Å, b = 4.2226 Å, c = 8.7637 Å
α = 90.00°, β = 90.00°, γ = 90.00°
Fractional positions:
Pr1 0.0000 0.0000 0.0000
Nd1 0.5000 0.5000 0.2546
Sb1 0.0000 0.0000 0.4501
Sb2 0.5000 0.5000 0.8041
Ir1 0.0000 0.5000 0.6271
Ir2 0.5000 0.0000 0.6271
O1 0.0000 0.5000 0.1295
O2 0.5000 0.0000 0.1295

=====

No. 4
Starting from DFT lattice parameters and positions (PBE), the powder X-ray diffraction pattern of Nd2PIr8 was calculated for Cu Kα, 1.54184 Å.
Kinematic intensities with the Lorentz-polarization factor, no thermal factor.

Top 10 peaks for 15° ≤ 2θ ≤ 90°, sorted by position:
2theta, d/Å, I (rel.)
17.45, 5.082, 17.8
31.08, 2.878, 17.4
37.47, 2.400, 100.0
39.76, 2.267, 18.6
40.05, 2.251, 28.2
41.48, 2.177, 23.4
42.63, 2.121, 37.2
45.36, 1.999, 30.9
74.61, 1.272, 19.4
79.95, 1.200, 16.7

Atomic structure:
a = 4.2414 Å, b = 9.0962 Å, c = 9.0962 Å
α = 146.04°, β = 90.00°, γ = 90.00°
Fractional positions:
Nd1 0.0000 0.1175 0.8825
Nd2 0.0000 0.8825 0.1175
P1 0.5000 0.7404 0.7404
Ir1 0.0000 0.2928 0.6981
Ir2 0.0000 0.5110 0.5110
Ir3 0.0000 0.6981 0.2928
Ir4 0.5000 0.1633 0.1633
Ir5 0.5000 0.3902 0.6174
Ir6 0.5000 0.5033 0.9977
Ir7 0.5000 0.6174 0.3902
Ir8 0.5000 0.9977 0.5033

=====

No. 5
Starting from DFT lattice parameters and positions (PBE), the powder X-ray diffraction pattern of NdP2Ir5 was calculated for Cu Kα, 1.54184 Å.
Kinematic intensities with the Lorentz-polarization factor, no thermal factor.

Top 10 peaks for 15° ≤ 2θ ≤ 90°, sorted by position:
2theta, d/Å, I (rel.)
15.98, 5.545, 21.3
32.29, 2.773, 26.7
35.82, 2.507, 98.8
36.56, 2.458, 100.0
45.64, 1.988, 56.6
46.90, 1.937, 46.6
49.30, 1.848, 13.9
66.36, 1.409, 12.0
67.50, 1.388, 26.8
80.68, 1.191, 17.1

Atomic structure:
a = 3.9782 Å, b = 6.8762 Å, c = 9.3773 Å
α = 90.00°, β = 90.00°, γ = 90.00°
Fractional positions:
Nd1 0.0000 0.0000 0.0000
Nd2 0.5000 0.5000 0.5000
P1 0.0000 0.5000 0.2467
P2 0.0000 0.5000 0.7533
P3 0.5000 0.0000 0.2533
P4 0.5000 0.0000 0.7467
Ir1 0.0000 0.2033 0.3520
Ir2 0.0000 0.2033 0.6480
Ir3 0.0000 0.5000 0.0000
Ir4 0.0000 0.7967 0.3520
Ir5 0.0000 0.7967 0.6480
Ir6 0.5000 0.0000 0.5000
Ir7 0.5000 0.2967 0.1480
Ir8 0.5000 0.2967 0.8520
Ir9 0.5000 0.7033 0.1480
Ir10 0.5000 0.7033 0.8520

=====

No. 6
Starting from DFT lattice parameters and positions (PBE), the powder X-ray diffraction pattern of PrNdP2Ir2S2 was calculated for Cu Kα, 1.54184 Å.
Kinematic intensities with the Lorentz-polarization factor, no thermal factor.

Top 10 peaks for 15° ≤ 2θ ≤ 90°, sorted by position:
2theta, d/Å, I (rel.)
23.04, 3.861, 34.6
28.92, 3.087, 24.3
30.11, 2.967, 23.2
31.18, 2.868, 43.4
35.85, 2.505, 100.0
42.18, 2.142, 44.6
50.91, 1.794, 16.8
52.70, 1.737, 20.5
60.29, 1.535, 20.4
72.99, 1.296, 25.1

Atomic structure:
a = 4.2846 Å, b = 4.2846 Å, c = 8.9025 Å
α = 90.00°, β = 90.00°, γ = 90.00°
Fractional positions:
Pr1 0.0000 0.0000 0.0000
Nd1 0.5000 0.5000 0.3891
P1 0.0000 0.0000 0.5650
P2 0.5000 0.5000 0.8230
Ir1 0.0000 0.5000 0.6939
Ir2 0.5000 0.0000 0.6939
S1 0.0000 0.5000 0.1968
S2 0.5000 0.0000 0.1968